[1]
# K2Hg4Br9
Theoretical XRD peak list, Cu Kα X-rays. Input: a GGA-PBE-relaxed structure.
No peak broadening, texture or thermal motion is included.

Peak list (10 most intense, 10° ≤ 2θ ≤ 90°, by angle)
two_theta, d [Å], intensity, h k l
13.02, 6.801, 100, 1 0 0
13.31, 6.652, 52, 1 1 1
19.73, 4.499, 45, 0 1 -3
21.28, 4.175, 58, 1 0 -4
22.47, 3.956, 49, -1 1 1
23.00, 3.867, 55, 2 1 1
23.75, 3.746, 47, 1 1 5
23.91, 3.722, 51, 1 2 -1
28.97, 3.082, 54, 2 2 -2
39.76, 2.267, 70, 3 0 0

Structural model:
abc: 7.800 7.914 20.991
angles: 80.36 86.74 60.69
Space group P-1 (No. 2)
Symmetry-distinct sites (fractional):
K: 0.010 0.309 0.118 [2 per cell]
K: 0.019 0.132 0.350 [2 per cell]
Hg: 0.301 0.976 0.951 [2 per cell]
Hg: 0.342 0.078 0.713 [2 per cell]
Hg: 0.351 0.314 0.497 [2 per cell]
Hg: 0.356 0.603 0.191 [2 per cell]
Br: 0.012 0.083 0.769 [2 per cell]
Br: 0.032 0.706 0.047 [2 per cell]
Br: 0.078 0.442 0.414 [2 per cell]
Br: 0.312 0.240 0.245 [2 per cell]
Br: 0.312 0.415 0.736 [2 per cell]
Br: 0.317 0.993 0.593 [2 per cell]
Br: 0.380 0.724 0.432 [2 per cell]
Br: 0.418 0.898 0.086 [2 per cell]
Br: 0.428 0.647 0.909 [2 per cell]


[2]
# K2MgHgBr6
Theoretical XRD peak list, Cu Kα X-rays. Input: a GGA-PBE-relaxed structure.
No peak broadening, texture or thermal motion is included.

Peak list (10 most intense, 10° ≤ 2θ ≤ 90°, by angle)
two_theta, d [Å], intensity, h k l
13.93, 6.355, 64, 0 1 1
16.01, 5.538, 100, 1 1 -1
16.89, 5.250, 44, 0 0 2
26.39, 3.378, 70, 1 2 0
26.66, 3.344, 85, 2 1 -1
28.59, 3.123, 43, 1 0 -4
32.33, 2.769, 73, 2 2 -2
34.15, 2.626, 50, 0 0 4
35.79, 2.509, 36, 1 3 -1
37.34, 2.408, 63, 2 2 -4

Structural model:
abc: 7.720 7.961 12.697
angles: 90.00 124.21 90.00
Space group P2_1/c (No. 14)
Symmetry-distinct sites (fractional):
K: 0.209 0.076 0.240 [4 per cell]
Mg: 0.000 0.000 0.500 [2 per cell]
Hg: 0.500 0.000 0.000 [2 per cell]
Br: 0.135 0.220 0.954 [4 per cell]
Br: 0.234 0.681 0.951 [4 per cell]
Br: 0.366 0.020 0.760 [4 per cell]


[3]
# KMgHg2Br6
Theoretical XRD peak list, Cu Kα X-rays. Input: a GGA-PBE-relaxed structure.
No peak broadening, texture or thermal motion is included.

Peak list (10 most intense, 10° ≤ 2θ ≤ 90°, by angle)
two_theta, d [Å], intensity, h k l
16.26, 5.450, 100, 1 1 1
21.82, 4.074, 49, 1 0 1
27.40, 3.255, 63, 2 1 1
32.87, 2.725, 30, 2 2 2
35.24, 2.547, 97, 1 2 3
38.46, 2.341, 28, -2 1 2
41.28, 2.187, 26, 3 2 -1
42.73, 2.116, 44, 3 3 1
45.71, 1.985, 19, 1 2 -2
56.54, 1.628, 20, 4 2 2

Structural model:
abc: 7.329 7.331 8.248
angles: 63.64 89.98 60.02
Space group P1 (No. 1)
Symmetry-distinct sites (fractional):
K: 0.000 0.000 0.000 [1 per cell]
Mg: 0.483 0.034 0.447 [1 per cell]
Hg: 0.293 0.414 0.879 [1 per cell]
Hg: 0.810 0.379 0.431 [1 per cell]
Br: 0.090 0.456 0.211 [1 per cell]
Br: 0.232 0.911 0.660 [1 per cell]
Br: 0.454 0.879 0.211 [1 per cell]
Br: 0.572 0.197 0.660 [1 per cell]
Br: 0.666 0.244 0.211 [1 per cell]
Br: 0.857 0.572 0.660 [1 per cell]